Simulated powder diffraction line list
Compound: CsHf2Ni2
Radiation: a wavelength of 1.5418 Å
Structure: a crystal structure in Alexandria, relaxed with GGA-PBE
Lines closer than 0.1° are merged.

Most intense lines, 5° ≤ 2θ ≤ 70°, in order of rising 2θ:
(0 0 2), 11.28°, rel. 1000; (0 0 4), 22.68°, rel. 439; (1 0 3), 26.49°, rel. 483; (1 1 2), 30.95°, rel. 809; (1 1 4), 36.91°, rel. 243; (2 0 0), 41.07°, rel. 406; (1 1 6), 45.33°, rel. 611; (2 0 4), 47.43°, rel. 250

Structure:
Cell lengths 4.3950, 4.3950, 15.6846 Å; angles 90.00, 90.00, 90.00 degrees
Space group I4/mmm (No. 139)
Asymmetric unit:
Cs 0.0000 0.0000 0.0000 x2
Hf 0.0000 0.5000 0.2500 x4
Ni 0.0000 0.0000 0.3335 x4